Computed powder XRD pattern
Compound: Ba3AlN3
Radiation: Cu Kα (weighted mean of Kα1 and Kα2)
Structure: a DFT-relaxed cell (GGA-PBE, the Materials Project)
No peak broadening, texture or thermal motion is included.

Cell and atoms:
```
data_Ba3AlN3
_symmetry_space_group_name_H-M 'P 63/m'
_symmetry_Int_Tables_number 176
_symmetry_space_group_name_Hall '-P 6c'
_cell_length_a 8.3847
_cell_length_b 8.3847
_cell_length_c 5.6100
_cell_angle_alpha 90.00
_cell_angle_beta 90.00
_cell_angle_gamma 120.00
loop_
_atom_site_label
_atom_site_type_symbol
_atom_site_fract_x
_atom_site_fract_y
_atom_site_fract_z
Ba1 Ba 0.0577 0.3633 0.2500
Al1 Al 0.3333 0.6667 0.7500
N1 N 0.1246 0.4343 0.7500
```

Peak list (10 most intense, 2θ from 5° to 70°, most intense first)
(hkl)  two_theta  I (rel.)
1 1 1  26.54  100
2 2 1  46.26  34
1 2 0  32.63  28
0 0 2  31.90  27
1 1 0  21.19  27
3 0 0  37.14  24
3 0 2  49.76  21
2 0 1  29.30  19
1 1 3  53.67  15
2 3 1  57.73  13

---

Computed powder XRD pattern
Compound: BaAlSi5N7O2
Radiation: Cu Kα (weighted mean of Kα1 and Kα2)
Structure: a DFT-relaxed cell (GGA-PBE, the Materials Project)
No peak broadening, texture or thermal motion is included.

Cell and atoms:
```
data_BaAlSi5N7O2
_symmetry_space_group_name_H-M 'P 1'
_symmetry_Int_Tables_number 1
_cell_length_a 4.932
_cell_length_b 6.823
_cell_length_c 6.882
_cell_angle_alpha 74.48
_cell_angle_beta 69.54
_cell_angle_gamma 69.08
loop_
_symmetry_equiv_pos_as_xyz
'x,y,z'
loop_
_atom_site_label
_atom_site_type_symbol
_atom_site_fract_x
_atom_site_fract_y
_atom_site_fract_z
Ba1 Ba 0.000 0.000 0.000
Al1 Al 0.622 0.520 0.153
Si1 Si 0.121 0.324 0.340
Si2 Si 0.287 0.848 0.482
Si3 Si 0.303 0.453 0.861
Si4 Si 0.614 0.133 0.542
Si5 Si 0.791 0.647 0.664
N1 N 0.014 0.090 0.455
N2 N 0.038 0.439 0.105
N3 N 0.113 0.675 0.690
N4 N 0.434 0.212 0.780
N5 N 0.487 0.290 0.326
N6 N 0.567 0.548 0.894
N7 N 0.572 0.883 0.553
O1 O 0.420 0.766 0.252
O2 O 0.870 0.489 0.498
```

Peak list (10 most intense, 2θ from 5° to 70°, most intense first)
(hkl)  two_theta  I (rel.)
0 2 1  29.61  100
0 1 2  29.36  67
1 2 0  29.68  33
1 1 0  20.96  26
2 1 1  36.43  25
0 0 2  28.04  23
1 1 2  27.88  20
1 3 0  41.95  14
-1 1 1  32.80  12
0 2 0  28.39  12

---

Computed powder XRD pattern
Compound: BaAlSi5N7O2
Radiation: Cu Kα (weighted mean of Kα1 and Kα2)
Structure: a DFT-relaxed cell (GGA-PBE, the Materials Project)
No peak broadening, texture or thermal motion is included.

Cell and atoms:
```
data_BaAlSi5N7O2
_symmetry_space_group_name_H-M 'P 1 c 1'
_symmetry_Int_Tables_number 7
_cell_length_a 6.448
_cell_length_b 6.792
_cell_length_c 9.494
_cell_angle_alpha 90.00
_cell_angle_beta 104.63
_cell_angle_gamma 90.00
loop_
_symmetry_equiv_pos_as_xyz
'x,y,z'
'x,-y,z+1/2'
loop_
_atom_site_label
_atom_site_type_symbol
_atom_site_fract_x
_atom_site_fract_y
_atom_site_fract_z
Ba1 Ba 0.000 0.168 0.000
Al1 Al 0.814 0.463 0.680
Si1 Si 0.275 0.313 0.368
Si2 Si 0.336 0.334 0.733
Si3 Si 0.389 0.047 0.866
Si4 Si 0.626 0.288 0.342
Si5 Si 0.663 0.007 0.164
N1 N 0.136 0.494 0.767
N2 N 0.299 0.236 0.554
N3 N 0.400 0.032 0.549
N4 N 0.635 0.010 0.342
N5 N 0.715 0.265 0.175
N6 N 0.795 0.328 0.514
N7 N 0.841 0.170 0.634
O1 O 0.173 0.097 0.291
O2 O 0.597 0.428 0.785
```

Peak list (10 most intense, 2θ from 5° to 70°, most intense first)
(hkl)  two_theta  I (rel.)
2 1 -1  30.80  100
1 0 2  26.85  72
1 1 1  23.20  72
0 1 3  32.02  69
1 1 -1  19.93  59
0 2 1  28.01  50
0 1 0  13.04  44
1 3 0  42.48  41
2 0 -2  30.34  40
0 1 2  23.38  39

---

Computed powder XRD pattern
Compound: BaAlSi4N5O3
Radiation: Cu Kα (weighted mean of Kα1 and Kα2)
Structure: a DFT-relaxed cell (GGA-PBE, the Materials Project)
No peak broadening, texture or thermal motion is included.

Cell and atoms:
```
data_BaAlSi4N5O3
_symmetry_space_group_name_H-M 'C m c 21'
_symmetry_Int_Tables_number 36
_cell_length_a 5.668
_cell_length_b 13.831
_cell_length_c 9.457
_cell_angle_alpha 90.00
_cell_angle_beta 90.00
_cell_angle_gamma 90.00
loop_
_symmetry_equiv_pos_as_xyz
'x,y,z'
'-x,-y,z+1/2'
'-x,y,z'
'x,-y,z+1/2'
'x+1/2,y+1/2,z'
'-x+1/2,-y+1/2,z+1/2'
'-x+1/2,y+1/2,z'
'x+1/2,-y+1/2,z+1/2'
loop_
_atom_site_label
_atom_site_type_symbol
_atom_site_fract_x
_atom_site_fract_y
_atom_site_fract_z
Ba1 Ba 0.000 0.025 0.000
Al1 Al 0.000 0.471 0.730
Si1 Si 0.000 0.289 0.942
Si2 Si 0.000 0.298 0.500
Si3 Si 0.249 0.328 0.220
N1 N 0.000 0.201 0.624
N2 N 0.000 0.291 0.127
N3 N 0.000 0.409 0.566
N4 N 0.249 0.223 0.889
O1 O 0.000 0.399 0.884
O2 O 0.248 0.447 0.239
```

Peak list (10 most intense, 2θ from 5° to 70°, most intense first)
(hkl)  two_theta  I (rel.)
1 3 2  31.36  100
1 1 2  25.36  94
2 0 2  36.98  60
1 3 0  24.89  57
0 2 1  15.88  37
0 2 4  40.30  32
0 4 0  25.77  29
0 4 1  27.47  29
0 0 4  38.06  27
0 2 3  31.18  23

---

Computed powder XRD pattern
Compound: BaNa2Al4Si4O16
Radiation: Cu Kα (weighted mean of Kα1 and Kα2)
Structure: a DFT-relaxed cell (GGA-PBE, the Materials Project)
No peak broadening, texture or thermal motion is included.

Cell and atoms:
```
data_BaNa2Al4Si4O16
_symmetry_space_group_name_H-M 'I b a 2'
_symmetry_Int_Tables_number 45
_cell_length_a 8.687
_cell_length_b 10.080
_cell_length_c 16.951
_cell_angle_alpha 90.00
_cell_angle_beta 90.00
_cell_angle_gamma 90.00
loop_
_symmetry_equiv_pos_as_xyz
'x,y,z'
'-x,-y,z'
'-x,y,z+1/2'
'x,-y,z+1/2'
'x+1/2,y+1/2,z+1/2'
'-x+1/2,-y+1/2,z+1/2'
'-x+1/2,y+1/2,z'
'x+1/2,-y+1/2,z'
loop_
_atom_site_label
_atom_site_type_symbol
_atom_site_fract_x
_atom_site_fract_y
_atom_site_fract_z
Ba1 Ba 0.000 0.000 0.000
Na1 Na 0.040 0.173 0.249
Al1 Al 0.071 0.314 0.591
Al2 Al 0.221 0.443 0.343
Si1 Si 0.077 0.307 0.908
Si2 Si 0.233 0.439 0.157
O1 O 0.003 0.291 0.996
O2 O 0.052 0.350 0.342
O3 O 0.076 0.353 0.159
O4 O 0.124 0.152 0.622
O5 O 0.128 0.155 0.882
O6 O 0.214 0.016 0.746
O7 O 0.219 0.414 0.904
O8 O 0.222 0.431 0.599
```

Peak list (10 most intense, 2θ from 5° to 70°, most intense first)
(hkl)  two_theta  I (rel.)
1 1 4  24.99  100
1 3 2  30.41  69
1 1 2  17.06  59
2 0 2  23.01  56
2 1 3  27.37  48
2 2 2  29.11  46
2 0 4  29.45  45
1 3 0  28.48  42
2 2 4  34.52  41
0 0 8  42.61  39

---

Computed powder XRD pattern
Compound: BaNa2Al4Si4O16
Radiation: Cu Kα (weighted mean of Kα1 and Kα2)
Structure: a DFT-relaxed cell (GGA-PBE, the Materials Project)
No peak broadening, texture or thermal motion is included.

Cell and atoms:
```
data_BaNa2Al4Si4O16
_symmetry_space_group_name_H-M 'C 1 c 1'
_symmetry_Int_Tables_number 9
_cell_length_a 19.648
_cell_length_b 8.655
_cell_length_c 10.075
_cell_angle_alpha 90.00
_cell_angle_beta 120.76
_cell_angle_gamma 90.00
loop_
_symmetry_equiv_pos_as_xyz
'x,y,z'
'x,-y,z+1/2'
'x+1/2,y+1/2,z'
'x+1/2,-y+1/2,z+1/2'
loop_
_atom_site_label
_atom_site_type_symbol
_atom_site_fract_x
_atom_site_fract_y
_atom_site_fract_z
Ba1 Ba 0.000 0.248 0.000
Na1 Na 0.248 0.213 0.073
Na2 Na 0.249 0.287 0.425
Al1 Al 0.090 0.176 0.403
Al2 Al 0.091 0.320 0.779
Al3 Al 0.342 0.469 0.789
Al4 Al 0.344 0.030 0.898
Si1 Si 0.156 0.480 0.598
Si2 Si 0.157 0.021 0.716
Si3 Si 0.408 0.171 0.715
Si4 Si 0.408 0.328 0.103
O1 O 0.096 0.472 0.665
O2 O 0.097 0.028 0.528
O3 O 0.125 0.371 0.974
O4 O 0.126 0.122 0.279
O5 O 0.158 0.321 0.514
O6 O 0.160 0.176 0.805
O7 O 0.245 0.470 0.238
O8 O 0.246 0.031 0.254
O9 O 0.342 0.297 0.697
O10 O 0.344 0.198 0.994
O11 O 0.379 0.120 0.535
O12 O 0.379 0.380 0.224
O13 O 0.407 0.472 0.993
O14 O 0.408 0.029 0.822
O15 O 0.495 0.249 0.780
O16 O 0.496 0.256 0.211
```

Peak list (10 most intense, 2θ from 5° to 70°, most intense first)
(hkl)  two_theta  I (rel.)
5 1 -1  25.08  100
1 1 -3  30.45  69
1 1 1  17.11  63
4 2 -1  27.48  53
2 2 0  23.10  53
8 0 0  42.89  49
4 2 -2  29.19  47
4 2 0  29.56  44
3 1 -3  28.51  40
2 2 2  34.63  39

---

Computed powder XRD pattern
Compound: Ba2NdAlO5
Radiation: Cu Kα (weighted mean of Kα1 and Kα2)
Structure: a DFT-relaxed cell (GGA-PBE, the Materials Project)
No peak broadening, texture or thermal motion is included.

Cell and atoms:
```
data_Ba2NdAlO5
_symmetry_space_group_name_H-M 'P 1 21 1'
_symmetry_Int_Tables_number 4
_cell_length_a 7.434
_cell_length_b 6.220
_cell_length_c 7.621
_cell_angle_alpha 90.00
_cell_angle_beta 117.77
_cell_angle_gamma 90.00
loop_
_symmetry_equiv_pos_as_xyz
'x,y,z'
'-x,y+1/2,-z'
loop_
_atom_site_label
_atom_site_type_symbol
_atom_site_fract_x
_atom_site_fract_y
_atom_site_fract_z
Ba1 Ba 0.136 0.000 0.396
Ba2 Ba 0.308 0.504 0.144
Nd1 Nd 0.402 0.499 0.664
Al1 Al 0.168 0.987 0.836
O1 O 0.093 0.520 0.344
O2 O 0.225 0.012 0.090
O3 O 0.235 0.723 0.793
O4 O 0.305 0.184 0.775
O5 O 0.499 0.762 0.512
```

Peak list (10 most intense, 2θ from 5° to 70°, most intense first)
(hkl)  two_theta  I (rel.)
0 1 2  30.15  100
2 1 0  30.75  88
0 2 0  28.71  72
2 2 -2  40.31  52
2 0 -2  27.69  46
2 1 -1  27.97  35
0 3 2  51.76  23
2 3 0  52.15  22
0 0 1  13.13  19
4 2 -1  59.25  18